Simulated PXRD pattern of Ba2TlSbPt for CuKα, from a DFT-relaxed cell (PBE, Alexandria).

Atomic structure:
Unit cell a=6.0390 b=6.0390 c=5.2625 alpha=90.00 beta=90.00 gamma=90.00
Positions (direct):
Ba  0.0000  0.5000  0.0000
Ba  0.5000  0.0000  0.0000
Tl  0.0000  0.0000  0.5000
Sb  0.5000  0.5000  0.5000
Pt  0.0000  0.0000  0.0000

Principal peaks in the range 2θ from 10° to 90°, most intense first:
(2 0 0), 2θ = 29.6°, I 1000
(1 1 1), 2θ = 26.9°, I 658
(1 0 0), 2θ = 14.7°, I 615
(2 0 2), 2θ = 45.7°, I 607
(2 2 0), 2θ = 42.3°, I 379
(0 0 2), 2θ = 34.1°, I 345
(2 2 2), 2θ = 55.4°, I 344
(4 2 2), 2θ = 79.8°, I 242